# K3La3VO8
Simulated powder X-ray diffraction pattern, λ = 1.5418 Å (Cu Kα). Input: a cell relaxed with PBE+U.

Structure:
Cell: 7.102 7.102 7.525 Å, 118.39 118.39 60.36°
Atoms (fractional coordinates):
K 0.000 0.000 0.000
K 0.000 0.500 0.000
K 0.500 0.000 0.000
La 0.000 0.500 0.500
La 0.500 0.000 0.500
La 0.500 0.500 0.500
V 0.000 0.000 0.500
O 0.194 0.194 0.668
O 0.201 0.767 0.671
O 0.233 0.799 0.329
O 0.267 0.267 0.306
O 0.733 0.733 0.694
O 0.767 0.201 0.671
O 0.799 0.233 0.329
O 0.806 0.806 0.332

The 10 most intense peaks (10 to 80 degrees two-theta), low angle first:
2θ (°)	d/Å	I (rel.)
14.1	6.284	100
17.1	5.173	12
28.4	3.142	30
29.3	3.048	22
30.5	2.928	63
34.7	2.586	66
35.0	2.563	31
44.6	2.033	14
48.7	1.870	20
51.5	1.775	20